1.
The following is a theoretical powder X-ray diffraction pattern of Cs2ScAuO4. It was derived from a crystal structure in Alexandria, relaxed with PBE, using Cu Ka.
No peak broadening, texture or thermal motion is included.

Top 8 peaks for 2θ from 10° to 90°, by intensity:
2θ/deg  I (rel.)
20.0  100.0
26.9  76.7
26.8  54.8
32.6  44.4
15.8  40.8
25.0  38.3
46.6  37.0
37.0  27.9

Cell lengths 13.286, 11.611, 7.712 Å; angles 84.31, 60.41, 35.28 degrees
Positions (direct):
Cs 0.056 0.056 0.694
Cs 0.306 0.306 0.944
Cs 0.694 0.694 0.056
Cs 0.944 0.944 0.306
Sc 0.125 0.125 0.125
Sc 0.875 0.875 0.875
Au 0.375 0.375 0.375
Au 0.625 0.625 0.625
O 0.016 0.717 0.540
O 0.227 0.540 0.717
O 0.283 0.984 0.773
O 0.460 0.773 0.984
O 0.540 0.227 0.016
O 0.717 0.016 0.227
O 0.773 0.460 0.283
O 0.984 0.283 0.460

2.
The following is a theoretical powder X-ray diffraction pattern of Cs5AuSe2O. It was derived from a crystal structure in Alexandria, relaxed with PBE, using Cu Ka.
No peak broadening, texture or thermal motion is included.

Top 8 peaks for 2θ from 10° to 90°, by intensity:
2θ/deg  I (rel.)
27.7  100.0
31.2  41.9
53.4  32.8
46.7  21.0
44.7  15.3
33.9  13.2
57.3  11.4
56.9  8.1

Cell lengths 7.801, 7.801, 7.801 Å; angles 117.40, 117.40, 94.56 degrees
Positions (direct):
Cs 0.000 0.000 0.000
Cs 0.498 0.498 0.502
Cs 0.498 0.997 0.000
Cs 0.997 0.498 0.000
Cs 0.997 0.997 0.498
Au 0.448 0.448 0.000
Se 0.499 0.999 0.500
Se 0.999 0.499 0.500
O 0.250 0.250 0.000

What did the first record say?
The following is a theoretical powder X-ray diffraction pattern of Cs2ScAuO4. It was derived from a crystal structure in Alexandria, relaxed with PBE, using Cu Ka.
No peak broadening, texture or thermal motion is included.

Top 8 peaks for 2θ from 10° to 90°, by intensity:
2θ/deg  I (rel.)
20.0  100.0
26.9  76.7
26.8  54.8
32.6  44.4
15.8  40.8
25.0  38.3
46.6  37.0
37.0  27.9

Cell lengths 13.286, 11.611, 7.712 Å; angles 84.31, 60.41, 35.28 degrees
Positions (direct):
Cs 0.056 0.056 0.694
Cs 0.306 0.306 0.944
Cs 0.694 0.694 0.056
Cs 0.944 0.944 0.306
Sc 0.125 0.125 0.125
Sc 0.875 0.875 0.875
Au 0.375 0.375 0.375
Au 0.625 0.625 0.625
O 0.016 0.717 0.540
O 0.227 0.540 0.717
O 0.283 0.984 0.773
O 0.460 0.773 0.984
O 0.540 0.227 0.016
O 0.717 0.016 0.227
O 0.773 0.460 0.283
O 0.984 0.283 0.460